For Li2BiAu6, a structure optimized by DFT (PBE) gives the computed X-ray powder pattern in this record (CuKα).

Atomic structure:
Cell lengths 3.288, 11.782, 9.069 Å; angles 90.00, 90.00, 90.00 degrees
Space group Amm2 (No. 38)
Inequivalent atoms, fractional coordinates:
Li (0.000, 0.212, 0.000) [4 per cell]
Bi (0.500, 0.000, 0.510) [2 per cell]
Au (0.000, 0.000, 0.813) [2 per cell]
Au (0.000, 0.123, 0.275) [4 per cell]
Au (0.500, 0.000, 0.064) [2 per cell]
Au (0.500, 0.189, 0.747) [4 per cell]

Peak list (10 most intense, 5° ≤ 2θ ≤ 70°, by angle)
d (Å)	2theta	intensity	h k l
5.891	15.04	147	0 2 0
4.534	19.58	256	0 0 2
3.594	24.78	213	0 2 2
2.662	33.67	173	1 0 2
2.470	36.37	125	0 4 2
2.428	37.03	1000	1 3 1
2.281	39.51	176	0 5 1
2.267	39.76	176	0 0 4
1.858	49.02	139	0 5 3
1.644	55.91	117	2 0 0